# K2BaPmF8
Theoretical XRD peak list, Cu Kα (weighted mean of Kα1 and Kα2). Input: a DFT-relaxed cell (PBE, Alexandria).
Neutral-atom scattering factors, no anomalous dispersion.

Most intense lines, 2θ from 10° to 80°, by angle:
(hkl)  2θ (°)  d [Å]  I (rel.)
1 0 1  16.23  5.462  52
1 1 2  25.34  3.515  100
2 0 0  29.12  3.067  11
2 1 1  33.51  2.674  11
2 2 0  41.65  2.168  24
2 0 4  42.13  2.145  48
3 1 2  49.38  1.846  31
1 1 6  50.22  1.817  15
3 1 6  67.22  1.393  14
4 2 4  76.35  1.247  13

a = 6.1334 Å, b = 6.1334 Å, c = 12.0032 Å
α = 90.00°, β = 90.00°, γ = 90.00°
Space group I-4m2 (No. 119)
One atom of each set of equivalent atoms:
1 K 0.0000 0.0000 0.0000
2 K 0.0000 0.5000 0.2500
3 Ba 0.0000 0.0000 0.5000
4 Pm 0.0000 0.5000 0.7500
5 F 0.2196 0.2728 0.6350

# KBa2PtF8
Theoretical XRD peak list, Cu Kα (weighted mean of Kα1 and Kα2). Input: a DFT-relaxed cell (PBE, Alexandria).
Neutral-atom scattering factors, no anomalous dispersion.

Most intense lines, 2θ from 10° to 80°, by angle:
(hkl)  2θ (°)  d [Å]  I (rel.)
0 0 1  10.72  8.252  100
1 0 1  20.99  4.233  92
1 0 2  28.20  3.164  88
1 1 0  31.42  2.847  79
1 1 1  33.29  2.692  19
0 1 3  37.44  2.402  32
0 2 1  38.09  2.363  37
0 2 2  42.72  2.117  46
2 0 3  49.65  1.836  22
2 1 2  53.98  1.699  30

a = 5.6946 Å, b = 5.6946 Å, c = 8.2517 Å
α = 90.00°, β = 90.00°, γ = 120.00°
Space group P-3m1 (No. 164)
One atom of each set of equivalent atoms:
1 K 0.0000 0.0000 0.0000
2 Ba 0.3333 0.6667 0.3113
3 Pt 0.0000 0.0000 0.5000
4 F 0.1668 0.3335 0.6538
5 F 0.3333 0.6667 0.0274